(1)
The following is a simulated powder diffractogram of LiHoThSe4. It was derived from a structure optimized by DFT (GGA-PBE), using Cu Kα (λ = 1.5418 Å).

Structure:
```
data_LiHoThSe4
_chemical_formula_sum 'Li2 Ho2 Th2 Se8'
_cell_length_a 8.382
_cell_length_b 8.382
_cell_length_c 8.382
_cell_angle_alpha 121.42
_cell_angle_beta 118.24
_cell_angle_gamma 90.32
_space_group_name_H-M_alt 'P 1'
_space_group_IT_number 1
loop_
_space_group_symop_operation_xyz
'x,y,z'
loop_
_atom_site_label
_atom_site_type_symbol
_atom_site_fract_x
_atom_site_fract_y
_atom_site_fract_z
_atom_site_occupancy
Li1 Li 0.385 0.135 0.250 1
Li2 Li 0.615 0.865 0.750 1
Ho1 Ho 0.000 0.000 0.500 1
Ho2 Ho 0.000 0.500 0.000 1
Th1 Th 0.000 0.500 0.500 1
Th2 Th 0.500 0.500 0.000 1
Se1 Se 0.229 0.746 0.483 1
Se2 Se 0.237 0.254 0.983 1
Se3 Se 0.244 0.251 0.508 1
Se4 Se 0.244 0.736 0.992 1
Se5 Se 0.756 0.264 0.008 1
Se6 Se 0.756 0.749 0.492 1
Se7 Se 0.763 0.746 0.017 1
Se8 Se 0.771 0.254 0.517 1
```

Top 10 peaks for 15 to 90 degrees two-theta, low angle first:
| 2θ (°) | intensity |
| --- | --- |
| 24.6 | 34 |
| 30.1 | 100 |
| 30.2 | 50 |
| 42.0 | 20 |
| 43.2 | 76 |
| 44.2 | 26 |
| 52.6 | 20 |
| 54.5 | 19 |
| 71.1 | 16 |
| 71.3 | 16 |

***

(2)
The following is a simulated powder diffractogram of Nd5MgSc. It was derived from a structure optimized by DFT (GGA-PBE), using Cu Kα (λ = 1.5418 Å).

Structure:
```
data_Nd5MgSc
_chemical_formula_sum 'Nd5 Mg1 Sc1'
_cell_length_a 5.459
_cell_length_b 5.459
_cell_length_c 7.951
_cell_angle_alpha 90.00
_cell_angle_beta 90.00
_cell_angle_gamma 90.00
_space_group_name_H-M_alt 'P 1'
_space_group_IT_number 1
loop_
_space_group_symop_operation_xyz
'x,y,z'
loop_
_atom_site_label
_atom_site_type_symbol
_atom_site_fract_x
_atom_site_fract_y
_atom_site_fract_z
_atom_site_occupancy
Nd1 Nd 0.000 0.000 0.000 1
Nd2 Nd 0.000 0.500 0.283 1
Nd3 Nd 0.000 0.500 0.717 1
Nd4 Nd 0.500 0.000 0.283 1
Nd5 Nd 0.500 0.000 0.717 1
Mg1 Mg 0.500 0.500 0.000 1
Sc1 Sc 0.000 0.000 0.500 1
```

Top 10 peaks for 15 to 90 degrees two-theta, low angle first:
| 2θ (°) | intensity |
| --- | --- |
| 16.2 | 13 |
| 22.4 | 11 |
| 23.0 | 28 |
| 25.7 | 20 |
| 32.3 | 100 |
| 32.8 | 55 |
| 47.1 | 20 |
| 47.8 | 13 |
| 57.3 | 13 |
| 58.3 | 37 |

***

(3)
The following is a simulated powder diffractogram of MgIn7Pb12. It was derived from a structure optimized by DFT (GGA-PBE), using Cu Kα (λ = 1.5418 Å).

Structure:
```
data_MgIn7Pb12
_chemical_formula_sum 'Mg1 In7 Pb12'
_cell_length_a 8.661
_cell_length_b 8.661
_cell_length_c 8.661
_cell_angle_alpha 102.83
_cell_angle_beta 102.83
_cell_angle_gamma 102.83
_space_group_name_H-M_alt 'P 1'
_space_group_IT_number 1
loop_
_space_group_symop_operation_xyz
'x,y,z'
loop_
_atom_site_label
_atom_site_type_symbol
_atom_site_fract_x
_atom_site_fract_y
_atom_site_fract_z
_atom_site_occupancy
Mg1 Mg 0.000 0.000 0.000 1
In1 In 0.088 0.088 0.682 1
In2 In 0.088 0.682 0.088 1
In3 In 0.318 0.912 0.912 1
In4 In 0.500 0.500 0.500 1
In5 In 0.682 0.088 0.088 1
In6 In 0.912 0.318 0.912 1
In7 In 0.912 0.912 0.318 1
Pb1 Pb 0.082 0.334 0.334 1
Pb2 Pb 0.239 0.500 0.761 1
Pb3 Pb 0.239 0.761 0.500 1
Pb4 Pb 0.334 0.082 0.334 1
Pb5 Pb 0.334 0.334 0.082 1
Pb6 Pb 0.500 0.239 0.761 1
Pb7 Pb 0.500 0.761 0.239 1
Pb8 Pb 0.666 0.666 0.918 1
Pb9 Pb 0.666 0.918 0.666 1
Pb10 Pb 0.761 0.239 0.500 1
Pb11 Pb 0.761 0.500 0.239 1
Pb12 Pb 0.918 0.666 0.666 1
```

Top 10 peaks for 15 to 90 degrees two-theta, low angle first:
| 2θ (°) | intensity |
| --- | --- |
| 31.5 | 100 |
| 31.8 | 42 |
| 32.9 | 33 |
| 33.2 | 54 |
| 34.5 | 39 |
| 49.5 | 12 |
| 54.2 | 18 |
| 54.5 | 14 |
| 58.1 | 20 |
| 65.1 | 14 |

***

(4)
The following is a simulated powder diffractogram of Ca2Nd8Ho3. It was derived from a structure optimized by DFT (GGA-PBE), using Cu Kα (λ = 1.5418 Å).

Structure:
```
data_Ca2Nd8Ho3
_chemical_formula_sum 'Ca2 Nd8 Ho3'
_cell_length_a 10.058
_cell_length_b 10.058
_cell_length_c 6.463
_cell_angle_alpha 101.85
_cell_angle_beta 101.85
_cell_angle_gamma 46.42
_space_group_name_H-M_alt 'P 1'
_space_group_IT_number 1
loop_
_space_group_symop_operation_xyz
'x,y,z'
loop_
_atom_site_label
_atom_site_type_symbol
_atom_site_fract_x
_atom_site_fract_y
_atom_site_fract_z
_atom_site_occupancy
Ca1 Ca 0.154 0.154 0.273 1
Ca2 Ca 0.846 0.846 0.727 1
Nd1 Nd 0.040 0.040 0.721 1
Nd2 Nd 0.106 0.549 0.222 1
Nd3 Nd 0.330 0.330 0.720 1
Nd4 Nd 0.451 0.894 0.778 1
Nd5 Nd 0.549 0.106 0.222 1
Nd6 Nd 0.670 0.670 0.280 1
Nd7 Nd 0.894 0.451 0.778 1
Nd8 Nd 0.960 0.960 0.279 1
Ho1 Ho 0.306 0.694 0.000 1
Ho2 Ho 0.500 0.500 0.500 1
Ho3 Ho 0.694 0.306 0.000 1
```

Top 10 peaks for 15 to 90 degrees two-theta, low angle first:
| 2θ (°) | intensity |
| --- | --- |
| 26.6 | 29 |
| 29.5 | 57 |
| 29.7 | 58 |
| 30.8 | 32 |
| 31.1 | 25 |
| 31.3 | 100 |
| 32.1 | 21 |
| 36.8 | 21 |
| 37.7 | 44 |
| 57.3 | 19 |

***

(5)
The following is a simulated powder diffractogram of LiBeCo. It was derived from a structure optimized by DFT (GGA-PBE), using Cu Kα (λ = 1.5418 Å).

Structure:
```
data_LiBeCo
_chemical_formula_sum 'Li1 Be1 Co1'
_cell_length_a 6.227
_cell_length_b 6.092
_cell_length_c 2.378
_cell_angle_alpha 82.08
_cell_angle_beta 75.69
_cell_angle_gamma 22.23
_space_group_name_H-M_alt 'P 1'
_space_group_IT_number 1
loop_
_space_group_symop_operation_xyz
'x,y,z'
loop_
_atom_site_label
_atom_site_type_symbol
_atom_site_fract_x
_atom_site_fract_y
_atom_site_fract_z
_atom_site_occupancy
Li1 Li 0.000 0.000 0.000 1
Be1 Be 0.681 0.681 0.319 1
Co1 Co 0.323 0.323 0.677 1
```

Top 10 peaks for 15 to 90 degrees two-theta, low angle first:
| 2θ (°) | intensity |
| --- | --- |
| 30.2 | 49 |
| 40.4 | 89 |
| 45.9 | 24 |
| 46.1 | 100 |
| 47.5 | 23 |
| 50.1 | 24 |
| 56.1 | 36 |
| 68.3 | 22 |
| 69.2 | 16 |
| 87.4 | 23 |

***

(6)
The following is a simulated powder diffractogram of CrTcRh2. It was derived from a structure optimized by DFT (GGA-PBE), using Cu Kα (λ = 1.5418 Å).

Structure:
```
data_CrTcRh2
_chemical_formula_sum 'Cr2 Tc2 Rh4'
_cell_length_a 5.137
_cell_length_b 4.127
_cell_length_c 5.392
_cell_angle_alpha 90.00
_cell_angle_beta 105.59
_cell_angle_gamma 90.00
_space_group_name_H-M_alt 'P 1'
_space_group_IT_number 1
loop_
_space_group_symop_operation_xyz
'x,y,z'
loop_
_atom_site_label
_atom_site_type_symbol
_atom_site_fract_x
_atom_site_fract_y
_atom_site_fract_z
_atom_site_occupancy
Cr1 Cr 0.132 0.250 0.285 1
Cr2 Cr 0.868 0.750 0.715 1
Tc1 Tc 0.125 0.250 0.779 1
Tc2 Tc 0.875 0.750 0.221 1
Rh1 Rh 0.340 0.750 0.086 1
Rh2 Rh 0.348 0.750 0.588 1
Rh3 Rh 0.652 0.250 0.412 1
Rh4 Rh 0.660 0.250 0.914 1
```

Top 10 peaks for 15 to 90 degrees two-theta, low angle first:
| 2θ (°) | intensity |
| --- | --- |
| 41.0 | 56 |
| 41.1 | 56 |
| 42.6 | 100 |
| 43.2 | 28 |
| 43.5 | 28 |
| 43.9 | 50 |
| 63.3 | 17 |
| 63.5 | 17 |
| 78.7 | 16 |
| 79.8 | 23 |

***

(7)
The following is a simulated powder diffractogram of Pu2Sb2O. It was derived from a structure optimized by DFT (GGA-PBE), using Cu Kα (λ = 1.5418 Å).

Structure:
```
data_Pu2Sb2O
_chemical_formula_sum 'Pu4 Sb4 O2'
_cell_length_a 8.073
_cell_length_b 8.073
_cell_length_c 7.958
_cell_angle_alpha 90.00
_cell_angle_beta 90.00
_cell_angle_gamma 150.75
_space_group_name_H-M_alt 'P 1'
_space_group_IT_number 1
loop_
_space_group_symop_operation_xyz
'x,y,z'
loop_
_atom_site_label
_atom_site_type_symbol
_atom_site_fract_x
_atom_site_fract_y
_atom_site_fract_z
_atom_site_occupancy
Pu1 Pu 0.037 0.963 0.500 1
Pu2 Pu 0.351 0.649 0.336 1
Pu3 Pu 0.649 0.351 0.836 1
Pu4 Pu 0.963 0.037 0.000 1
Sb1 Sb 0.299 0.701 0.959 1
Sb2 Sb 0.425 0.575 0.700 1
Sb3 Sb 0.575 0.425 0.200 1
Sb4 Sb 0.701 0.299 0.459 1
O1 O 0.089 0.911 0.801 1
O2 O 0.911 0.089 0.301 1
```

Top 10 peaks for 15 to 90 degrees two-theta, low angle first:
| 2θ (°) | intensity |
| --- | --- |
| 27.8 | 100 |
| 30.0 | 63 |
| 31.9 | 73 |
| 32.1 | 34 |
| 35.7 | 51 |
| 35.9 | 43 |
| 36.3 | 45 |
| 38.0 | 38 |
| 44.4 | 33 |
| 50.4 | 31 |

***

(8)
The following is a simulated powder diffractogram of TaTlW. It was derived from a structure optimized by DFT (GGA-PBE), using Cu Kα (λ = 1.5418 Å).

Structure:
```
data_TaTlW
_chemical_formula_sum 'Ta2 Tl2 W2'
_cell_length_a 12.540
_cell_length_b 12.540
_cell_length_c 3.178
_cell_angle_alpha 97.12
_cell_angle_beta 97.12
_cell_angle_gamma 14.56
_space_group_name_H-M_alt 'P 1'
_space_group_IT_number 1
loop_
_space_group_symop_operation_xyz
'x,y,z'
loop_
_atom_site_label
_atom_site_type_symbol
_atom_site_fract_x
_atom_site_fract_y
_atom_site_fract_z
_atom_site_occupancy
Ta1 Ta 0.000 0.000 0.000 1
Ta2 Ta 0.575 0.575 0.574 1
Tl1 Tl 0.288 0.288 0.283 1
Tl2 Tl 0.411 0.411 0.413 1
W1 W 0.142 0.142 0.137 1
W2 W 0.702 0.702 0.697 1
```

Top 10 peaks for 15 to 90 degrees two-theta, low angle first:
| 2θ (°) | intensity |
| --- | --- |
| 28.3 | 14 |
| 30.1 | 19 |
| 36.4 | 9 |
| 38.1 | 100 |
| 38.2 | 33 |
| 40.1 | 66 |
| 51.9 | 9 |
| 58.0 | 23 |
| 71.6 | 34 |
| 71.7 | 11 |